[1]
Calculated PXRD pattern of Sr2TaCoO6 for Cu Kα, from the GGA+U geometry in the Materials Project.
Intensities are scaled so that the largest is 100.

Main lines, sorted by position (10° ≤ 2θ ≤ 80°):
2theta, d/Å, intensity
19.23, 4.615, 30.1
31.59, 2.832, 100.0
31.81, 2.814, 49.1
44.96, 2.016, 16.5
45.60, 1.989, 31.6
56.12, 1.639, 19.9
56.53, 1.628, 39.0
65.97, 1.416, 19.5

Structural model:
Unit cell a=9.8349 b=9.8326 c=7.9579 alpha=66.15 beta=66.12 gamma=47.74
Atoms (fractional coordinates):
Sr 0.9999 0.5003 0.0000
Sr 0.0000 0.5000 0.5000
Sr 0.2500 0.7501 0.2501
Sr 0.2500 0.7500 0.7500
Sr 0.5000 0.0000 0.0000
Sr 0.5003 0.9999 0.4999
Sr 0.7500 0.2500 0.2500
Sr 0.7501 0.2500 0.7497
Ta 0.1250 0.1250 0.8750
Ta 0.3750 0.3750 0.1250
Ta 0.6250 0.6250 0.3750
Ta 0.8750 0.8750 0.6250
Co 0.1250 0.1250 0.3750
Co 0.3750 0.3750 0.6250
Co 0.6250 0.6250 0.8750
Co 0.8750 0.8750 0.1250
O 0.0018 0.0018 0.9982
O 0.1225 0.6273 0.6257
O 0.1241 0.1262 0.1226
O 0.1262 0.1241 0.6272
O 0.1274 0.6228 0.1259
O 0.2481 0.2481 0.7519
O 0.2518 0.2518 0.2482
O 0.3714 0.8790 0.3756
O 0.3742 0.3757 0.8712
O 0.3757 0.3742 0.3789
O 0.3788 0.8711 0.8758
O 0.4981 0.4981 0.0019
O 0.5020 0.5020 0.4980
O 0.6228 0.1274 0.1238
O 0.6243 0.6255 0.1275
O 0.6255 0.6243 0.6227
O 0.6273 0.1225 0.6245
O 0.7482 0.7482 0.2518
O 0.7520 0.7520 0.7480
O 0.8711 0.3788 0.8743
O 0.8744 0.8760 0.8786
O 0.8760 0.8744 0.3710
O 0.8790 0.3714 0.3740
O 0.9982 0.9982 0.5018

---

[2]
Calculated PXRD pattern of Mo2P3O12 for Cu Kα, from the GGA+U geometry in the Materials Project.
Intensities are scaled so that the largest is 100.

Main lines, sorted by position (10° ≤ 2θ ≤ 80°):
2theta, d/Å, intensity
14.16, 6.257, 44.2
19.85, 4.473, 100.0
20.29, 4.377, 69.6
23.63, 3.766, 65.0
28.53, 3.128, 64.2
31.70, 2.823, 42.5
35.26, 2.545, 28.3
35.53, 2.527, 25.7

Structural model:
Unit cell a=8.9505 b=8.9505 c=8.9505 alpha=58.55 beta=58.55 gamma=58.55
Atoms (fractional coordinates):
Mo 0.1417 0.1417 0.1417
Mo 0.3583 0.3583 0.3583
Mo 0.6417 0.6417 0.6417
Mo 0.8583 0.8583 0.8583
P 0.0341 0.7500 0.4659
P 0.2500 0.5341 0.9659
P 0.4659 0.0341 0.7500
P 0.5341 0.9659 0.2500
P 0.7500 0.4659 0.0341
P 0.9659 0.2500 0.5341
O 0.0049 0.7790 0.6353
O 0.0614 0.9214 0.2890
O 0.0786 0.7110 0.9386
O 0.1353 0.2790 0.5049
O 0.2110 0.5786 0.4386
O 0.2210 0.3647 0.9951
O 0.2790 0.5049 0.1353
O 0.2890 0.0614 0.9214
O 0.3647 0.9951 0.2210
O 0.4214 0.5614 0.7890
O 0.4386 0.2110 0.5786
O 0.4951 0.8647 0.7210
O 0.5049 0.1353 0.2790
O 0.5614 0.7890 0.4214
O 0.5786 0.4386 0.2110
O 0.6353 0.0049 0.7790
O 0.7110 0.9386 0.0786
O 0.7210 0.4951 0.8647
O 0.7790 0.6353 0.0049
O 0.7890 0.4214 0.5614
O 0.8647 0.7210 0.4951
O 0.9214 0.2890 0.0614
O 0.9386 0.0786 0.7110
O 0.9951 0.2210 0.3647

---

[3]
Calculated PXRD pattern of BaSmCo2O6 for Cu Kα, from the GGA+U geometry in the Materials Project.
Intensities are scaled so that the largest is 100.

Main lines, sorted by position (10° ≤ 2θ ≤ 80°):
2theta, d/Å, intensity
32.32, 2.770, 100.0
32.73, 2.736, 47.8
40.03, 2.252, 24.8
45.74, 1.984, 16.7
46.96, 1.935, 29.7
57.38, 1.606, 19.2
58.16, 1.586, 38.1
67.64, 1.385, 18.3

Structural model:
Unit cell a=3.9672 b=7.7350 c=7.7427 alpha=90.00 beta=90.00 gamma=90.00
Atoms (fractional coordinates):
Ba 0.0000 0.0000 0.2479
Ba 0.0000 0.0000 0.7521
Sm 0.0000 0.5000 0.2435
Sm 0.0000 0.5000 0.7565
Co 0.5000 0.2535 0.5000
Co 0.5000 0.2552 0.0000
Co 0.5000 0.7448 0.0000
Co 0.5000 0.7465 0.5000
O 0.0000 0.2768 0.5000
O 0.0000 0.2851 0.0000
O 0.0000 0.7149 0.0000
O 0.0000 0.7232 0.5000
O 0.5000 0.0000 0.0000
O 0.5000 0.0000 0.5000
O 0.5000 0.2726 0.2401
O 0.5000 0.2726 0.7599
O 0.5000 0.5000 0.0000
O 0.5000 0.5000 0.5000
O 0.5000 0.7274 0.2401
O 0.5000 0.7274 0.7599

---

[4]
Calculated PXRD pattern of Li9Mn7O16 for Cu Kα, from the GGA+U geometry in the Materials Project.
Intensities are scaled so that the largest is 100.

Main lines, sorted by position (10° ≤ 2θ ≤ 80°):
2theta, d/Å, intensity
18.28, 4.853, 100.0
33.90, 2.644, 18.4
36.15, 2.485, 24.2
40.81, 2.211, 35.7
44.12, 2.053, 55.7
61.39, 1.510, 17.1
61.91, 1.499, 16.6
63.64, 1.462, 11.4

Structural model:
Unit cell a=6.5184 b=6.5184 c=10.5497 alpha=119.26 beta=119.26 gamma=52.50
Atoms (fractional coordinates):
Li 0.0000 0.0000 0.0000
Li 0.2427 0.7508 0.2414
Li 0.2467 0.2467 0.9987
Li 0.2492 0.7573 0.7586
Li 0.2501 0.2501 0.4994
Li 0.7499 0.7499 0.5006
Li 0.7508 0.2427 0.2414
Li 0.7533 0.7533 0.0013
Li 0.7573 0.2492 0.7586
Mn 0.0000 0.0000 0.5000
Mn 0.0047 0.5078 0.7594
Mn 0.4922 0.9953 0.2406
Mn 0.5000 0.5000 0.0000
Mn 0.5000 0.5000 0.5000
Mn 0.5078 0.0047 0.7594
Mn 0.9953 0.4922 0.2406
O 0.1333 0.6332 0.4949
O 0.1372 0.1372 0.7516
O 0.1373 0.6141 0.9877
O 0.1395 0.1395 0.2556
O 0.3631 0.3631 0.2471
O 0.3627 0.3627 0.7427
O 0.3668 0.8667 0.5051
O 0.3859 0.8627 0.0123
O 0.6141 0.1373 0.9877
O 0.6332 0.1333 0.4949
O 0.6373 0.6373 0.2573
O 0.6369 0.6369 0.7529
O 0.8605 0.8605 0.7444
O 0.8627 0.3859 0.0123
O 0.8628 0.8628 0.2484
O 0.8667 0.3668 0.5051

---

[5]
Calculated PXRD pattern of CrO2 for Cu Kα, from the GGA+U geometry in the Materials Project.
Intensities are scaled so that the largest is 100.

Main lines, sorted by position (10° ≤ 2θ ≤ 80°):
2theta, d/Å, intensity
28.10, 3.176, 100.0
36.11, 2.487, 56.2
41.50, 2.176, 16.3
55.10, 1.667, 58.7
58.09, 1.588, 17.0
65.75, 1.420, 9.3
69.55, 1.352, 11.4
70.34, 1.338, 19.9

Structural model:
Unit cell a=4.4909 b=4.4909 c=2.9873 alpha=90.00 beta=90.00 gamma=90.00
Atoms (fractional coordinates):
Cr 0.0000 0.0000 0.0000
Cr 0.5000 0.5000 0.5000
O 0.1982 0.1982 0.5000
O 0.3018 0.6982 0.0000
O 0.6982 0.3018 0.0000
O 0.8018 0.8018 0.5000

---

[6]
Calculated PXRD pattern of LiFeP3O9 for Cu Kα, from the GGA+U geometry in the Materials Project.
Intensities are scaled so that the largest is 100.

Main lines, sorted by position (10° ≤ 2θ ≤ 80°):
2theta, d/Å, intensity
14.13, 6.266, 100.0
14.66, 6.041, 52.8
16.29, 5.442, 44.3
22.19, 4.005, 33.4
23.64, 3.763, 54.1
26.70, 3.338, 23.6
33.38, 2.685, 24.9
36.64, 2.453, 30.5

Structural model:
Unit cell a=5.2085 b=12.0829 c=12.5317 alpha=90.00 beta=90.00 gamma=90.00
Atoms (fractional coordinates):
Li 0.0507 0.0983 0.2500
Li 0.0507 0.4017 0.7500
Li 0.9493 0.5983 0.2500
Li 0.9493 0.9017 0.7500
Fe 0.0000 0.0000 0.0000
Fe 0.0000 0.0000 0.5000
Fe 0.0000 0.5000 0.0000
Fe 0.0000 0.5000 0.5000
P 0.2271 0.7500 0.0000
P 0.2271 0.7500 0.5000
P 0.4974 0.0764 0.6343
P 0.4974 0.0764 0.8657
P 0.4974 0.4236 0.1343
P 0.4974 0.4236 0.3657
P 0.5026 0.5764 0.6343
P 0.5026 0.5764 0.8657
P 0.5026 0.9236 0.1343
P 0.5026 0.9236 0.3657
P 0.7729 0.2500 0.0000
P 0.7729 0.2500 0.5000
O 0.0840 0.6705 0.0711
O 0.0840 0.6705 0.4289
O 0.0840 0.8295 0.5711
O 0.0840 0.8295 0.9289
O 0.2141 0.0539 0.6260
O 0.2141 0.0539 0.8740
O 0.2141 0.4461 0.1260
O 0.2141 0.4461 0.3740
O 0.3160 0.0172 0.1131
O 0.3160 0.0172 0.3869
O 0.3160 0.4828 0.6131
O 0.3160 0.4828 0.8869
O 0.4396 0.6838 0.5677
O 0.4396 0.6838 0.9323
O 0.4396 0.8162 0.0677
O 0.4396 0.8162 0.4323
O 0.4455 0.6271 0.7500
O 0.4455 0.8729 0.2500
O 0.5545 0.1271 0.7500
O 0.5545 0.3729 0.2500
O 0.5604 0.1838 0.5677
O 0.5604 0.1838 0.9323
O 0.5604 0.3162 0.0677
O 0.5604 0.3162 0.4323
O 0.6840 0.5172 0.1131
O 0.6840 0.5172 0.3869
O 0.6840 0.9828 0.6131
O 0.6840 0.9828 0.8869
O 0.7859 0.5539 0.6260
O 0.7859 0.5539 0.8740
O 0.7859 0.9461 0.1260
O 0.7859 0.9461 0.3740
O 0.9160 0.1705 0.0711
O 0.9160 0.1705 0.4289
O 0.9160 0.3295 0.5711
O 0.9160 0.3295 0.9289

---

[7]
Calculated PXRD pattern of Ta2Mo2O11 for Cu Kα, from the GGA+U geometry in the Materials Project.
Intensities are scaled so that the largest is 100.

Main lines, sorted by position (10° ≤ 2θ ≤ 80°):
2theta, d/Å, intensity
10.21, 8.663, 14.9
22.59, 3.935, 100.0
31.32, 2.856, 34.6
32.99, 2.715, 22.3
38.97, 2.311, 10.9
46.13, 1.968, 15.7
50.82, 1.797, 21.7
53.07, 1.726, 13.1

Structural model:
Unit cell a=9.2690 b=9.2690 c=9.2690 alpha=35.89 beta=35.89 gamma=35.89
Atoms (fractional coordinates):
Ta 0.1281 0.1281 0.1281
Ta 0.8719 0.8719 0.8719
Mo 0.3872 0.3872 0.3872
Mo 0.6128 0.6128 0.6128
O 0.0000 0.0000 0.5000
O 0.0000 0.5000 0.0000
O 0.2388 0.2388 0.7561
O 0.2388 0.7561 0.2388
O 0.2439 0.7612 0.7612
O 0.3205 0.3205 0.3205
O 0.5000 0.0000 0.0000
O 0.6795 0.6795 0.6795
O 0.7561 0.2388 0.2388
O 0.7612 0.2439 0.7612
O 0.7612 0.7612 0.2439